For YMnCoB2, the PBE geometry in Alexandria gives the theoretical XRD peak list in this record (Cu Ka).

The 12 most intense peaks (2θ = 10–80°), in order of falling intensity:
h k l  2theta  I/Imax
1 1 2  40.46  100
1 0 1  26.71  47
1 0 3  37.77  32
2 0 0  51.35  28
0 0 4  37.40  28
2 0 4  65.23  20
1 1 6  69.53  20
2 1 3  65.48  12
2 1 1  58.82  10
1 0 5  54.20  9
2 2 0  75.58  8
2 1 5  77.91  6

Crystal structure
Cell lengths 3.558, 3.558, 9.619 Å; angles 90.00, 90.00, 90.00 degrees
Space group I-4m2 (No. 119)
One atom of each set of equivalent atoms:
1 Y 0.000 0.000 0.000 [2 per cell]
2 Mn 0.000 0.500 0.250 [2 per cell]
3 Co 0.000 0.500 0.750 [2 per cell]
4 B 0.000 0.000 0.357 [4 per cell]

=====

For CdIn2I8, the PBE geometry in Alexandria gives the theoretical XRD peak list in this record (Cu Ka).

The 12 most intense peaks (2θ = 10–80°), in order of falling intensity:
h k l  2theta  I/Imax
4 2 -2  25.15  100
4 0 -4  24.87  65
6 2 0  38.94  60
2 0 2  25.43  46
2 2 0  21.66  36
0 4 0  37.49  32
6 2 -4  33.42  30
2 0 0  11.16  29
8 2 -6  44.14  27
1 1 0  10.78  26
4 2 -6  43.62  26
4 0 0  22.45  23

Crystal structure
Cell lengths 21.095, 9.596, 14.327 Å; angles 90.00, 131.34, 90.00 degrees
Space group C2/c (No. 15)
One atom of each set of equivalent atoms:
1 Cd 0.000 0.007 0.250 [4 per cell]
2 In 0.086 0.250 0.536 [8 per cell]
3 I 0.076 0.225 0.196 [8 per cell]
4 I 0.088 0.240 0.732 [8 per cell]
5 I 0.155 0.010 0.521 [8 per cell]
6 I 0.168 0.485 0.563 [8 per cell]

=====

Repeat the second record exactly.
For CdIn2I8, the PBE geometry in Alexandria gives the theoretical XRD peak list in this record (Cu Ka).

The 12 most intense peaks (2θ = 10–80°), in order of falling intensity:
h k l  2theta  I/Imax
4 2 -2  25.15  100
4 0 -4  24.87  65
6 2 0  38.94  60
2 0 2  25.43  46
2 2 0  21.66  36
0 4 0  37.49  32
6 2 -4  33.42  30
2 0 0  11.16  29
8 2 -6  44.14  27
1 1 0  10.78  26
4 2 -6  43.62  26
4 0 0  22.45  23

Crystal structure
Cell lengths 21.095, 9.596, 14.327 Å; angles 90.00, 131.34, 90.00 degrees
Space group C2/c (No. 15)
One atom of each set of equivalent atoms:
1 Cd 0.000 0.007 0.250 [4 per cell]
2 In 0.086 0.250 0.536 [8 per cell]
3 I 0.076 0.225 0.196 [8 per cell]
4 I 0.088 0.240 0.732 [8 per cell]
5 I 0.155 0.010 0.521 [8 per cell]
6 I 0.168 0.485 0.563 [8 per cell]